(1)
For Ta2GaCo3, a structure optimized by DFT (PBE) gives the theoretical PXRD pattern in this record (a wavelength of 1.5418 Å).

Cell and atoms:
a b c (Å): 4.9010 4.9010 7.6301
angles (deg): 90.00 90.00 120.00
Space group P6_3/mmc (No. 194)
Symmetry-distinct sites (fractional):
Ta (0.3333, 0.6667, 0.0606) (multiplicity 4)
Ga (0.0000, 0.0000, 0.0000) (multiplicity 2)
Co (0.1726, 0.3452, 0.7500) (multiplicity 6)

The 12 most intense peaks (5° ≤ 2θ ≤ 70°), in order of rising 2θ:
d [Å]  I/Imax
4.244  14
3.815  11
3.709  10
2.837  10
2.450  73
2.182  89
2.122  14
2.062  100
2.045  47
1.436  12
1.415  13
1.357  35

(2)
For LiMg2, a structure optimized by DFT (PBE) gives the theoretical PXRD pattern in this record (a wavelength of 1.5418 Å).

Cell and atoms:
a b c (Å): 11.3962 3.1940 7.4361
angles (deg): 90.00 105.00 90.00
Space group Cm (No. 8)
Symmetry-distinct sites (fractional):
Li (0.0000, 0.0000, 0.0000) (multiplicity 2)
Li (0.1665, 0.5000, 0.3335) (multiplicity 2)
Mg (0.1111, 0.5000, 0.7238) (multiplicity 2)
Mg (0.2781, 0.0000, 0.0576) (multiplicity 2)
Mg (0.3328, 0.0000, 0.6659) (multiplicity 2)
Mg (0.4450, 0.5000, 0.3876) (multiplicity 2)

The 12 most intense peaks (5° ≤ 2θ ≤ 70°), in order of rising 2θ:
d [Å]  I/Imax
7.183  30
5.044  57
2.750  65
2.704  31
2.522  70
2.420  97
2.409  100
2.394  46
2.373  45
1.864  19
1.854  28
1.570  31

(3)
For Cu2SnHgTe4, a structure optimized by DFT (PBE) gives the theoretical PXRD pattern in this record (a wavelength of 1.5418 Å).

Cell and atoms:
a b c (Å): 6.3059 6.3059 12.5818
angles (deg): 90.00 90.00 90.00
Space group I-42m (No. 121)
Symmetry-distinct sites (fractional):
Cu (0.0000, 0.5000, 0.2500) (multiplicity 4)
Sn (0.0000, 0.0000, 0.0000) (multiplicity 2)
Hg (0.0000, 0.0000, 0.5000) (multiplicity 2)
Te (0.2476, 0.2476, 0.8572) (multiplicity 8)

The 12 most intense peaks (5° ≤ 2θ ≤ 70°), in order of rising 2θ:
d [Å]  I/Imax
5.637  3
4.459  6
3.638  100
2.819  10
2.570  7
2.228  76
2.097  3
1.900  46
1.684  4
1.576  9
1.528  5
1.446  17